Computed powder diffraction line list of Ce4CdPt for Cu Ka, from DFT lattice parameters and positions (PBE).

Principal peaks in the range 2θ = 5–70°, in order of falling intensity:
- hkl 5 1 1, 2θ 33.4, 2.683 Å, intensity 1000
- hkl 4 4 0, 2θ 36.5, 2.464 Å, intensity 408
- hkl 6 6 0, 2θ 56.0, 1.643 Å, intensity 352
- hkl 4 2 2, 2θ 31.4, 2.845 Å, intensity 349
- hkl 5 5 5, 2θ 57.2, 1.610 Å, intensity 148
- hkl 9 5 1, 2θ 69.8, 1.348 Å, intensity 137
- hkl 9 3 3, 2θ 66.8, 1.401 Å, intensity 128
- hkl 3 3 1, 2θ 27.9, 3.198 Å, intensity 120
- hkl 5 3 1, 2θ 38.2, 2.356 Å, intensity 119
- hkl 5 5 3, 2θ 50.3, 1.815 Å, intensity 109

Structural model:
Cell: 13.9395 13.9395 13.9395 Å, 90.00 90.00 90.00°
Space group F-43m (No. 216)
One atom of each set of equivalent atoms:
Ce1 0.0000 0.0000 0.1852 x24
Ce2 0.0545 0.2500 0.7500 x24
Ce3 0.1030 0.1030 0.3970 x16
Cd1 0.1703 0.1703 0.1703 x16
Pt1 0.1075 0.1075 0.6075 x16

=====

Computed powder diffraction line list of Cs2LiEuCl6 for Cu Ka, from DFT lattice parameters and positions (PBE).

Principal peaks in the range 2θ = 5–70°, in order of falling intensity:
- hkl 2 2 0, 2θ 23.5, 3.790 Å, intensity 1000
- hkl 4 0 0, 2θ 33.4, 2.680 Å, intensity 693
- hkl 4 4 0, 2θ 48.0, 1.895 Å, intensity 471
- hkl 4 2 2, 2θ 41.3, 2.188 Å, intensity 467
- hkl 2 2 2, 2θ 28.8, 3.095 Å, intensity 357
- hkl 1 1 1, 2θ 14.3, 6.190 Å, intensity 342
- hkl 3 1 1, 2θ 27.6, 3.232 Å, intensity 254
- hkl 6 4 2, 2θ 65.1, 1.433 Å, intensity 251
- hkl 6 2 0, 2θ 54.1, 1.695 Å, intensity 216
- hkl 4 4 4, 2θ 59.8, 1.547 Å, intensity 159

Structural model:
Cell: 10.7209 10.7209 10.7209 Å, 90.00 90.00 90.00°
Space group Fm-3m (No. 225)
One atom of each set of equivalent atoms:
Cs1 0.2500 0.2500 0.2500 x8
Li1 0.0000 0.0000 0.0000 x4
Eu1 0.0000 0.0000 0.5000 x4
Cl1 0.0000 0.0000 0.2456 x24

=====

Computed powder diffraction line list of Gd2CoNi3 for Cu Ka, from DFT lattice parameters and positions (PBE).

Principal peaks in the range 2θ = 5–70°, in order of falling intensity:
- hkl 1 0 2, 2θ 34.9, 2.574 Å, intensity 1000
- hkl 1 1 0, 2θ 45.8, 1.981 Å, intensity 384
- hkl 1 1 4, 2θ 67.5, 1.388 Å, intensity 231
- hkl 2 0 2, 2θ 58.8, 1.570 Å, intensity 216
- hkl 1 0 0, 2θ 26.0, 3.431 Å, intensity 178
- hkl 0 0 4, 2θ 46.7, 1.946 Å, intensity 121
- hkl 1 0 4, 2θ 54.2, 1.692 Å, intensity 50
- hkl 2 0 0, 2θ 53.4, 1.716 Å, intensity 26
- hkl 1 1 2, 2θ 51.8, 1.765 Å, intensity 6
- hkl 0 0 2, 2θ 22.9, 3.891 Å, intensity 6

Structural model:
Cell: 3.9620 3.9620 7.7825 Å, 90.00 90.00 120.00°
Space group P-6m2 (No. 187)
One atom of each set of equivalent atoms:
Gd1 0.0000 0.0000 0.2478 x2
Co1 0.3333 0.6667 0.0000 x1
Ni1 0.3333 0.6667 0.5000 x1
Ni2 0.6667 0.3333 0.0000 x1
Ni3 0.6667 0.3333 0.5000 x1

=====

Computed powder diffraction line list of Pr3OsO7 for Cu Ka, from DFT lattice parameters and positions (PBE).

Principal peaks in the range 2θ = 5–70°, in order of falling intensity:
- hkl 2 0 2, 2θ 28.3, 3.150 Å, intensity 1000
- hkl 2 2 0, 2θ 28.6, 3.124 Å, intensity 845
- hkl 4 2 2, 2θ 47.1, 1.930 Å, intensity 453
- hkl 0 2 2, 2θ 33.3, 2.690 Å, intensity 420
- hkl 2 2 4, 2θ 56.4, 1.632 Å, intensity 282
- hkl 4 0 0, 2θ 32.3, 2.772 Å, intensity 224
- hkl 0 0 4, 2θ 47.5, 1.914 Å, intensity 172
- hkl 2 4 2, 2θ 56.8, 1.621 Å, intensity 132
- hkl 2 2 1, 2θ 30.9, 2.892 Å, intensity 114
- hkl 0 2 1, 2θ 26.3, 3.390 Å, intensity 107

Structural model:
Cell: 11.0878 7.5620 7.6558 Å, 90.00 90.00 90.00°
Space group Cmcm (No. 63)
One atom of each set of equivalent atoms:
Pr1 0.0000 0.0000 0.0000 x4
Pr2 0.2224 0.3052 0.2500 x8
Os1 0.0000 0.5000 0.0000 x4
O1 0.0000 0.4175 0.2500 x4
O2 0.1248 0.3153 0.5389 x16
O3 0.1317 0.0264 0.2500 x8